The following is a simulated XRD peak list of Te3Pd8. It was derived from a structure optimized by DFT (PBE), using Cu Kα, 1.54184 Å.

Largest 6 diffraction maxima, most intense first, 2θ from 10° to 90°:
two_theta  I/Imax
35.74  100
31.27  63
46.66  38
35.43  35
49.72  31
22.49  21

Atomic structure:
```
11
Lattice="4.6022 2.6571 3.0352 -4.6022 2.6571 3.0352 0.0000 -5.3141 3.0352" Properties=species:S:1:pos:R:3 pbc="T T T"
Te -2.3011 -1.3285 3.0352
Te -2.3011 1.3285 6.0703
Te 0.0000 2.6571 3.0352
Pd -1.1803 -3.5276 3.8697
Pd -3.6451 -0.7416 5.2358
Pd 0.0000 0.0000 2.6108
Pd -2.4648 2.7860 3.8697
Pd 2.4648 -2.7860 5.2358
Pd 0.0000 0.0000 6.4947
Pd 3.6451 0.7416 3.8697
Pd 1.1803 3.5275 5.2358
```